This entry pairs a crystal structure of Bi2SbTe2Pd7 with its computed X-ray diffraction stick pattern. Radiation: Cu Kα X-rays. Structure: a crystal structure in Alexandria, relaxed with GGA-PBE.
Kinematic intensities with the Lorentz-polarization factor, no thermal factor.

Largest 10 diffraction maxima, sorted by position, 2θ from 10° to 80°:
hkl 1 1 0, 22.4°, rel. 43
hkl 1 1 -2, 23.7°, rel. 36
hkl 1 1 2, 26.1°, rel. 45
hkl 0 2 0, 31.7°, rel. 51
hkl 2 0 -2, 32.2°, rel. 46
hkl 2 0 2, 35.8°, rel. 39
hkl 2 0 -5, 38.7°, rel. 95
hkl 2 0 4, 42.2°, rel. 100
hkl 2 2 -1, 45.4°, rel. 99
hkl 2 0 -13, 77.6°, rel. 43

Crystal structure
a = 5.6488 Å, b = 5.6509 Å, c = 16.6438 Å
α = 90.00°, β = 99.74°, γ = 90.00°
Space group C2/m (No. 12)
Asymmetric unit:
Bi  0.1205  0.0000  0.2432 (multiplicity 4)
Sb  0.0000  0.5000  0.0000 (multiplicity 2)
Te  0.2097  0.5000  0.4229 (multiplicity 4)
Pd  0.0000  0.0000  0.0000 (multiplicity 2)
Pd  0.1870  0.2501  0.8727 (multiplicity 8)
Pd  0.2033  0.0000  0.4114 (multiplicity 4)